For CaCo4O8, a PBE+U-relaxed structure gives the calculated X-ray diffraction stick pattern in this record (λ = 1.5418 Å (Cu Kα)).

```
data_CaCo4O8
_chemical_formula_sum 'Ca3 Co12 O24'
_cell_length_a 5.6454
_cell_length_b 5.6454
_cell_length_c 16.5627
_cell_angle_alpha 90.00
_cell_angle_beta 90.00
_cell_angle_gamma 120.00
_space_group_name_H-M_alt 'R -3 m'
_space_group_IT_number 166
_space_group_name_Hall '-R 3 2"'
loop_
_atom_site_label
_atom_site_type_symbol
_atom_site_fract_x
_atom_site_fract_y
_atom_site_fract_z
Ca1 Ca 0.0000 0.0000 0.0000
Co1 Co 0.0000 0.0000 0.5000
Co2 Co 0.0000 0.5000 0.5000
O1 O 0.0000 0.0000 0.2229
O2 O 0.0032 0.5016 0.7735
```

Largest 6 diffraction maxima, by angle, 10° ≤ 2θ ≤ 90°:
| index | 2theta | d_spacing | Rel. int. |
| --- | --- | --- | --- |
| 0 0 3 | 16.05 | 5.521 | 100.0 |
| 0 2 1 | 37.18 | 2.418 | 16.9 |
| 0 2 4 | 42.97 | 2.105 | 48.9 |
| 0 2 7 | 53.93 | 1.700 | 14.8 |
| 2 0 8 | 58.41 | 1.580 | 12.7 |
| 2 2 0 | 66.22 | 1.411 | 12.3 |